Entry 1:
Simulated PXRD pattern
Compound: MnZnP2O7
Radiation: Cu Kα (λ = 1.5418 Å)
Structure: a crystal structure in the Materials Project, relaxed with GGA+U
Intensities are scaled so that the largest is 100.

Crystal structure
```
data_MnZnP2O7
_chemical_formula_sum 'Mn4 Zn4 P8 O28'
_cell_length_a 7.1265
_cell_length_b 8.5731
_cell_length_c 9.2381
_cell_angle_alpha 90.00
_cell_angle_beta 112.62
_cell_angle_gamma 90.00
_space_group_name_H-M_alt 'P 1 21/c 1'
_space_group_IT_number 14
loop_
_space_group_symop_operation_xyz
'x,y,z'
'-x,-y,-z'
'-x,y+1/2,-z+1/2'
'x,-y+1/2,z+1/2'
loop_
_atom_site_label
_atom_site_type_symbol
_atom_site_fract_x
_atom_site_fract_y
_atom_site_fract_z
Mn1 Mn 0.2366 0.0695 0.1088
Zn1 Zn 0.3011 0.0588 0.6832
P1 P 0.0625 0.7350 0.7428
P2 P 0.4670 0.7233 0.0304
O1 O 0.0299 0.6030 0.6228
O2 O 0.1117 0.6092 0.1902
O3 O 0.1175 0.2397 0.7032
O4 O 0.2512 0.6782 0.8991
O5 O 0.3773 0.2287 0.5480
O6 O 0.4543 0.6161 0.6023
O7 O 0.4919 0.0904 0.3497
```

Main lines, by intensity (5 to 70 degrees two-theta):
d_spacing	Position (°2θ)	I_rel	h k l
3.082	29.0	100	1 0 2
3.069	29.1	35	2 1 -2
2.156	41.9	20	2 3 -2
2.609	34.4	19	2 2 0
2.621	34.2	16	1 3 0
1.610	57.2	12	3 3 -4

***

Entry 2:
Simulated PXRD pattern
Compound: Mn2ZnP2O8
Radiation: Cu Kα (λ = 1.5418 Å)
Structure: a crystal structure in the Materials Project, relaxed with GGA+U
Intensities are scaled so that the largest is 100.

Crystal structure
```
data_Mn2ZnP2O8
_chemical_formula_sum 'Mn16 Zn8 P16 O64'
_cell_length_a 16.5631
_cell_length_b 4.9890
_cell_length_c 17.4491
_cell_angle_alpha 90.00
_cell_angle_beta 117.47
_cell_angle_gamma 90.00
_space_group_name_H-M_alt 'C 1 2/c 1'
_space_group_IT_number 15
loop_
_space_group_symop_operation_xyz
'x,y,z'
'-x,-y,-z'
'-x,y,-z+1/2'
'x,-y,z+1/2'
'x+1/2,y+1/2,z'
'-x+1/2,-y+1/2,-z'
'-x+1/2,y+1/2,-z+1/2'
'x+1/2,-y+1/2,z+1/2'
loop_
_atom_site_label
_atom_site_type_symbol
_atom_site_fract_x
_atom_site_fract_y
_atom_site_fract_z
Mn1 Mn 0.0000 0.0000 0.0000
Mn2 Mn 0.0000 0.3315 0.2500
Mn3 Mn 0.1306 0.4450 0.4678
Zn1 Zn 0.2412 0.0500 0.6579
P1 P 0.1021 0.4664 0.1363
P2 P 0.1570 0.0409 0.8820
O1 O 0.0124 0.4623 0.1444
O2 O 0.0801 0.3445 0.5577
O3 O 0.0980 0.0436 0.2893
O4 O 0.1137 0.0124 0.4435
O5 O 0.1216 0.1813 0.1102
O6 O 0.1800 0.3487 0.8900
O7 O 0.1849 0.4291 0.7178
O8 O 0.2474 0.1270 0.4153
```

Main lines, by intensity (5 to 70 degrees two-theta):
d_spacing	Position (°2θ)	I_rel	h k l
3.163	28.2	100	3 1 -4
2.852	31.4	95	3 1 2
2.750	32.6	58	5 1 -2
2.915	30.7	39	2 0 4
2.495	36.0	38	0 2 0
4.720	18.8	35	1 1 -1

***

Entry 3:
Simulated PXRD pattern
Compound: Mn2ZnP2O10
Radiation: Cu Kα (λ = 1.5418 Å)
Structure: a crystal structure in the Materials Project, relaxed with GGA+U
Intensities are scaled so that the largest is 100.

Crystal structure
```
data_Mn2ZnP2O10
_chemical_formula_sum 'Mn16 Zn8 P16 O80'
_cell_length_a 7.1329
_cell_length_b 11.0781
_cell_length_c 16.8403
_cell_angle_alpha 90.00
_cell_angle_beta 90.00
_cell_angle_gamma 90.00
_space_group_name_H-M_alt 'F d d d'
_space_group_IT_number 70
loop_
_space_group_symop_operation_xyz
'x,y,z'
'-x,-y,-z'
'-x+1/4,-y+1/4,z'
'x+1/4,y+1/4,-z'
'x,-y+1/4,-z+1/4'
'-x,y+1/4,z+1/4'
'-x+1/4,y,-z+1/4'
'x+1/4,-y,z+1/4'
'x,y+1/2,z+1/2'
'-x,-y+1/2,-z+1/2'
'-x+1/4,-y+3/4,z+1/2'
'x+1/4,y+3/4,-z+1/2'
'x,-y+3/4,-z+3/4'
'-x,y+3/4,z+3/4'
'-x+1/4,y+1/2,-z+3/4'
'x+1/4,-y+1/2,z+3/4'
'x+1/2,y,z+1/2'
'-x+1/2,-y,-z+1/2'
'-x+3/4,-y+1/4,z+1/2'
'x+3/4,y+1/4,-z+1/2'
'x+1/2,-y+1/4,-z+3/4'
'-x+1/2,y+1/4,z+3/4'
'-x+3/4,y,-z+3/4'
'x+3/4,-y,z+3/4'
'x+1/2,y+1/2,z'
'-x+1/2,-y+1/2,-z'
'-x+3/4,-y+3/4,z'
'x+3/4,y+3/4,-z'
'x+1/2,-y+3/4,-z+1/4'
'-x+1/2,y+3/4,z+1/4'
'-x+3/4,y+1/2,-z+1/4'
'x+3/4,-y+1/2,z+1/4'
loop_
_atom_site_label
_atom_site_type_symbol
_atom_site_fract_x
_atom_site_fract_y
_atom_site_fract_z
Mn1 Mn 0.0000 0.0000 0.0000
Zn1 Zn 0.1250 0.1250 0.6250
P1 P 0.1250 0.1250 0.4175
O1 O 0.0453 0.3602 0.0282
O2 O 0.0868 0.0127 0.3625
O3 O 0.1250 0.1250 0.0439
```

Main lines, by intensity (5 to 70 degrees two-theta):
d_spacing	Position (°2θ)	I_rel	h k l
2.937	30.4	100	1 1 5
3.219	27.7	56	1 3 1
2.827	31.6	49	2 2 2
2.999	29.8	37	2 2 0
4.098	21.7	37	1 1 3
2.442	36.8	30	2 2 4

***

Entry 4:
Simulated PXRD pattern
Compound: Mn2ZnP2O9
Radiation: Cu Kα (λ = 1.5418 Å)
Structure: a crystal structure in the Materials Project, relaxed with GGA+U
Intensities are scaled so that the largest is 100.

Crystal structure
```
data_Mn2ZnP2O9
_chemical_formula_sum 'Mn8 Zn4 P8 O36'
_cell_length_a 14.5170
_cell_length_b 6.3157
_cell_length_c 7.3304
_cell_angle_alpha 90.00
_cell_angle_beta 90.00
_cell_angle_gamma 90.00
_space_group_name_H-M_alt 'P n m a'
_space_group_IT_number 62
loop_
_space_group_symop_operation_xyz
'x,y,z'
'-x,-y,-z'
'-x+1/2,-y,z+1/2'
'x+1/2,y,-z+1/2'
'x+1/2,-y+1/2,-z+1/2'
'-x+1/2,y+1/2,z+1/2'
'-x,y+1/2,-z'
'x,-y+1/2,z'
loop_
_atom_site_label
_atom_site_type_symbol
_atom_site_fract_x
_atom_site_fract_y
_atom_site_fract_z
Mn1 Mn 0.0000 0.0000 0.0000
Mn2 Mn 0.1174 0.2500 0.3528
Zn1 Zn 0.2253 0.2500 0.9149
P1 P 0.0703 0.7500 0.3673
P2 P 0.2031 0.7500 0.8846
O1 O 0.0022 0.2500 0.4849
O2 O 0.0228 0.7500 0.1760
O3 O 0.0483 0.2500 0.1340
O4 O 0.1392 0.5640 0.3783
O5 O 0.1463 0.5409 0.8895
O6 O 0.2232 0.2500 0.5392
O7 O 0.2345 0.2500 0.2059
```

Main lines, by intensity (5 to 70 degrees two-theta):
d_spacing	Position (°2θ)	I_rel	h k l
3.554	25.1	100	1 0 2
2.698	33.2	45	5 0 1
3.158	28.3	34	0 2 0
2.894	30.9	29	2 2 0
2.844	31.5	29	1 2 1
5.158	17.2	28	2 0 1

***

Entry 5:
Simulated PXRD pattern
Compound: MnZnP2O7
Radiation: Cu Kα (λ = 1.5418 Å)
Structure: a crystal structure in the Materials Project, relaxed with GGA+U
Intensities are scaled so that the largest is 100.

Crystal structure
```
data_MnZnP2O7
_chemical_formula_sum 'Mn2 Zn2 P4 O14'
_cell_length_a 5.6212
_cell_length_b 6.5029
_cell_length_c 7.4662
_cell_angle_alpha 81.60
_cell_angle_beta 85.78
_cell_angle_gamma 71.99
_space_group_name_H-M_alt 'P -1'
_space_group_IT_number 2
loop_
_space_group_symop_operation_xyz
'x,y,z'
'-x,-y,-z'
loop_
_atom_site_label
_atom_site_type_symbol
_atom_site_fract_x
_atom_site_fract_y
_atom_site_fract_z
Mn1 Mn 0.2359 0.3443 0.3054
Zn1 Zn 0.1689 0.8476 0.8467
P1 P 0.2800 0.3019 0.8849
P2 P 0.3025 0.8166 0.4109
O1 O 0.1163 0.1477 0.9263
O2 O 0.1211 0.5402 0.8308
O3 O 0.1431 0.0455 0.3313
O4 O 0.1848 0.6394 0.3980
O5 O 0.3905 0.8146 0.6024
O6 O 0.4357 0.2286 0.7051
O7 O 0.4527 0.2824 0.0409
```

Main lines, by intensity (5 to 70 degrees two-theta):
d_spacing	Position (°2θ)	I_rel	h k l
2.995	29.8	100	1 0 -2
3.094	28.9	72	1 2 0
3.081	29.0	56	1 0 2
2.674	33.5	42	2 0 0
3.122	28.6	40	1 -1 1
3.066	29.1	31	0 2 0

***

Entry 6:
Simulated PXRD pattern
Compound: MnZnP2O7
Radiation: Cu Kα (λ = 1.5418 Å)
Structure: a crystal structure in the Materials Project, relaxed with GGA+U
Intensities are scaled so that the largest is 100.

Crystal structure
```
data_MnZnP2O7
_chemical_formula_sum 'Mn4 Zn4 P8 O28'
_cell_length_a 7.2346
_cell_length_b 8.4400
_cell_length_c 10.1020
_cell_angle_alpha 93.26
_cell_angle_beta 104.76
_cell_angle_gamma 114.05
_space_group_name_H-M_alt 'P -1'
_space_group_IT_number 2
loop_
_space_group_symop_operation_xyz
'x,y,z'
'-x,-y,-z'
loop_
_atom_site_label
_atom_site_type_symbol
_atom_site_fract_x
_atom_site_fract_y
_atom_site_fract_z
Mn1 Mn 0.2158 0.4033 0.2139
Mn2 Mn 0.2167 0.9035 0.7140
Zn1 Zn 0.1119 0.2990 0.6269
Zn2 Zn 0.1119 0.7991 0.1270
P1 P 0.2371 0.0928 0.4189
P2 P 0.2373 0.5928 0.9189
P3 P 0.3099 0.1474 0.0191
P4 P 0.3099 0.6473 0.5191
O1 O 0.1326 0.4029 0.8347
O2 O 0.1326 0.9029 0.3347
O3 O 0.1373 0.1989 0.0443
O4 O 0.1376 0.6990 0.5443
O5 O 0.1395 0.2070 0.3458
O6 O 0.1399 0.7071 0.8459
O7 O 0.2319 0.1018 0.5708
O8 O 0.2320 0.6018 0.0708
O9 O 0.2842 0.1041 0.8670
O10 O 0.2842 0.6041 0.3670
O11 O 0.3460 0.0168 0.1109
O12 O 0.3459 0.5166 0.6108
O13 O 0.4780 0.1650 0.4157
O14 O 0.4781 0.6648 0.9158
```

Main lines, by intensity (5 to 70 degrees two-theta):
d_spacing	Position (°2θ)	I_rel	h k l
3.063	29.2	100	-1 1 3
3.144	28.4	98	2 0 0
6.292	14.1	80	1 0 0
3.205	27.8	79	2 -2 0
2.724	32.9	63	1 2 -2
3.279	27.2	53	0 2 -2

***

Entry 7:
Simulated PXRD pattern
Compound: MnPbO3
Radiation: Cu Kα (λ = 1.5418 Å)
Structure: a crystal structure in the Materials Project, relaxed with GGA+U
Intensities are scaled so that the largest is 100.

Crystal structure
```
data_MnPbO3
_chemical_formula_sum 'Mn4 Pb4 O12'
_cell_length_a 10.0470
_cell_length_b 5.8461
_cell_length_c 5.4051
_cell_angle_alpha 90.00
_cell_angle_beta 91.90
_cell_angle_gamma 90.00
_space_group_name_H-M_alt 'P 1 2/c 1'
_space_group_IT_number 13
loop_
_space_group_symop_operation_xyz
'x,y,z'
'-x,-y,-z'
'-x,y,-z+1/2'
'x,-y,z+1/2'
loop_
_atom_site_label
_atom_site_type_symbol
_atom_site_fract_x
_atom_site_fract_y
_atom_site_fract_z
Mn1 Mn 0.0000 0.1239 0.2500
Mn2 Mn 0.0000 0.3747 0.7500
Pb1 Pb 0.3780 0.2501 0.4928
O1 O 0.0955 0.1234 0.9257
O2 O 0.0969 0.3732 0.4138
O3 O 0.5000 0.0037 0.2500
O4 O 0.5000 0.4977 0.7500
```

Main lines, by intensity (5 to 70 degrees two-theta):
d_spacing	Position (°2θ)	I_rel	h k l
3.150	28.3	100	2 1 -1
3.077	29.0	95	2 1 1
10.041	8.8	87	1 0 0
3.660	24.3	76	1 1 1
3.721	23.9	67	1 1 -1
2.589	34.6	50	3 1 -1